# 1
Li2LaMg8In: computed powder X-ray diffraction pattern (Cu Ka), based on the GGA-PBE geometry in Alexandria.
Peak positions follow from Bragg's law for the DFT cell and can differ from measured ones.

Crystal structure
Unit cell a=5.2660 b=5.2660 c=11.8541 alpha=95.76 beta=95.76 gamma=68.59
Fractional coordinates of all 12 atoms:
1 Li 0.1786 0.1786 0.3388
2 Li 0.8214 0.8214 0.6612
3 La 0.5000 0.5000 0.5000
4 Mg 0.1635 0.1635 0.5924
5 Mg 0.1661 0.1661 0.0450
6 Mg 0.1889 0.6797 0.2088
7 Mg 0.3203 0.8111 0.7912
8 Mg 0.6797 0.1889 0.2088
9 Mg 0.8111 0.3203 0.7912
10 Mg 0.8339 0.8339 0.9550
11 Mg 0.8365 0.8365 0.4076
12 In 0.5000 0.5000 0.0000

Main lines, by angle (10 to 80 degrees two-theta):
| 2theta | intensity |
| --- | --- |
| 15.1 | 97 |
| 18.1 | 100 |
| 20.6 | 69 |
| 24.5 | 98 |
| 33.8 | 89 |
| 34.6 | 70 |
| 36.7 | 59 |
| 38.9 | 54 |


# 2
Pr2NdSm6Er: computed powder X-ray diffraction pattern (Cu Ka), based on the GGA-PBE geometry in Alexandria.
Peak positions follow from Bragg's law for the DFT cell and can differ from measured ones.

Crystal structure
Unit cell a=8.9303 b=8.9303 c=9.8761 alpha=94.41 beta=94.41 gamma=117.93
Fractional coordinates of all 20 atoms:
1 Pr 0.1963 0.2971 0.0425
2 Pr 0.2971 0.1963 0.5425
3 Pr 0.7029 0.8037 0.4575
4 Pr 0.8037 0.7029 0.9575
5 Nd 0.0177 0.9823 0.2500
6 Nd 0.9823 0.0177 0.7500
7 Sm 0.0166 0.5728 0.1884
8 Sm 0.1220 0.7446 0.5561
9 Sm 0.2554 0.8780 0.9439
10 Sm 0.2947 0.5060 0.3806
11 Sm 0.4272 0.9834 0.3116
12 Sm 0.4940 0.7053 0.1194
13 Sm 0.5060 0.2947 0.8806
14 Sm 0.5728 0.0166 0.6884
15 Sm 0.7053 0.4940 0.6194
16 Sm 0.7446 0.1220 0.0561
17 Sm 0.8780 0.2554 0.4439
18 Sm 0.9834 0.4272 0.8116
19 Er 0.4078 0.5922 0.7500
20 Er 0.5922 0.4078 0.2500

Main lines, by angle (10 to 80 degrees two-theta):
| 2theta | intensity |
| --- | --- |
| 27.3 | 15 |
| 28.1 | 37 |
| 29.8 | 43 |
| 30.1 | 58 |
| 30.8 | 49 |
| 31.1 | 100 |
| 31.8 | 16 |
| 32.9 | 58 |


What did the first record say?
Li2LaMg8In: computed powder X-ray diffraction pattern (Cu Ka), based on the GGA-PBE geometry in Alexandria.
Peak positions follow from Bragg's law for the DFT cell and can differ from measured ones.

Crystal structure
Unit cell a=5.2660 b=5.2660 c=11.8541 alpha=95.76 beta=95.76 gamma=68.59
Fractional coordinates of all 12 atoms:
1 Li 0.1786 0.1786 0.3388
2 Li 0.8214 0.8214 0.6612
3 La 0.5000 0.5000 0.5000
4 Mg 0.1635 0.1635 0.5924
5 Mg 0.1661 0.1661 0.0450
6 Mg 0.1889 0.6797 0.2088
7 Mg 0.3203 0.8111 0.7912
8 Mg 0.6797 0.1889 0.2088
9 Mg 0.8111 0.3203 0.7912
10 Mg 0.8339 0.8339 0.9550
11 Mg 0.8365 0.8365 0.4076
12 In 0.5000 0.5000 0.0000

Main lines, by angle (10 to 80 degrees two-theta):
| 2theta | intensity |
| --- | --- |
| 15.1 | 97 |
| 18.1 | 100 |
| 20.6 | 69 |
| 24.5 | 98 |
| 33.8 | 89 |
| 34.6 | 70 |
| 36.7 | 59 |
| 38.9 | 54 |


Number 2 is which compound? Pr2NdSm6Er